1.
Diffraction record for Dy3Tl2Cd4. The PXRD pattern is simulated, not measured: it uses the GGA-PBE geometry in Alexandria and Cu Kα.

Atomic structure:
Cell lengths 6.0858, 6.0858, 9.3697 Å; angles 115.95, 115.95, 48.17 degrees
Atoms (fractional coordinates):
Dy  0.0000  0.0000  0.0000
Dy  0.3337  0.3337  0.3296
Dy  0.6663  0.6663  0.6704
Tl  0.3925  0.3925  0.7287
Tl  0.6075  0.6075  0.2713
Cd  0.0713  0.0713  0.4091
Cd  0.2865  0.2865  0.9604
Cd  0.7135  0.7135  0.0396
Cd  0.9287  0.9287  0.5909

The 10 most intense peaks (5° ≤ 2θ ≤ 70°), by angle:
2θ/deg, intensity
32.7, 255
32.8, 653
32.9, 842
36.0, 1000
36.2, 497
49.7, 287
62.9, 280
64.6, 242
64.9, 177
65.1, 165


2.
Diffraction record for Dy4Tl2Cd. The PXRD pattern is simulated, not measured: it uses the GGA-PBE geometry in Alexandria and Cu Kα.

Atomic structure:
Cell lengths 9.0457, 9.0457, 9.0457 Å; angles 33.81, 33.81, 33.81 degrees
Atoms (fractional coordinates):
Dy  0.1204  0.1204  0.1204
Dy  0.3722  0.3722  0.3722
Dy  0.6278  0.6278  0.6278
Dy  0.8796  0.8796  0.8796
Tl  0.2497  0.2497  0.2497
Tl  0.7503  0.7503  0.7503
Cd  0.5000  0.5000  0.5000

The 10 most intense peaks (5° ≤ 2θ ≤ 70°), by angle:
2θ/deg, intensity
20.7, 195
20.9, 78
34.1, 1000
34.3, 965
40.3, 126
49.1, 352
61.0, 188
61.1, 366
61.5, 169
65.2, 42


3.
Diffraction record for Dy6TlCd. The PXRD pattern is simulated, not measured: it uses the GGA-PBE geometry in Alexandria and Cu Kα.

Atomic structure:
Cell lengths 9.8347, 9.8347, 9.8347 Å; angles 150.17, 150.17, 42.69 degrees
Atoms (fractional coordinates):
Dy  0.1150  0.6150  0.5000
Dy  0.2489  0.2489  0.0000
Dy  0.3850  0.8850  0.5000
Dy  0.6150  0.1150  0.5000
Dy  0.7511  0.7511  0.0000
Dy  0.8850  0.3850  0.5000
Tl  0.5000  0.5000  0.0000
Cd  0.0000  0.0000  0.0000

The 10 most intense peaks (5° ≤ 2θ ≤ 70°), by angle:
2θ/deg, intensity
31.7, 1000
35.5, 384
38.8, 24
39.3, 127
51.0, 137
54.0, 203
56.4, 18
61.3, 305
66.3, 109
66.6, 91


4.
Diffraction record for Dy3Tl2Cd4. The PXRD pattern is simulated, not measured: it uses the GGA-PBE geometry in Alexandria and Cu Kα.

Atomic structure:
Cell lengths 7.5930, 7.5930, 4.5485 Å; angles 90.00, 90.00, 120.00 degrees
Atoms (fractional coordinates):
Dy  0.0000  0.4273  0.0000
Dy  0.4273  0.0000  0.0000
Dy  0.5727  0.5727  0.0000
Tl  0.3333  0.6667  0.5000
Tl  0.6667  0.3333  0.5000
Cd  0.0000  0.0000  0.0000
Cd  0.0000  0.7595  0.5000
Cd  0.2405  0.2405  0.5000
Cd  0.7595  0.0000  0.5000

The 10 most intense peaks (5° ≤ 2θ ≤ 70°), by angle:
2θ/deg, intensity
30.7, 773
33.6, 1000
36.1, 390
39.6, 311
41.2, 219
41.4, 245
54.2, 142
54.7, 234
58.5, 156
65.1, 204


5.
Diffraction record for Dy2Tl2Cd3. The PXRD pattern is simulated, not measured: it uses the GGA-PBE geometry in Alexandria and Cu Kα.

Atomic structure:
Cell lengths 11.4657, 11.4657, 3.4553 Å; angles 90.00, 90.00, 156.44 degrees
Atoms (fractional coordinates):
Dy  0.1484  0.8516  0.0000
Dy  0.8516  0.1484  0.0000
Tl  0.2919  0.7081  0.5000
Tl  0.7081  0.2919  0.5000
Cd  0.0000  0.0000  0.0000
Cd  0.4333  0.5667  0.5000
Cd  0.5667  0.4333  0.5000

The 10 most intense peaks (5° ≤ 2θ ≤ 70°), by angle:
2θ/deg, intensity
7.9, 342
32.5, 806
33.9, 1000
34.4, 284
35.4, 247
38.1, 187
38.5, 374
41.5, 238
57.8, 176
64.4, 309


6.
Diffraction record for Dy5Tl2Cd. The PXRD pattern is simulated, not measured: it uses the GGA-PBE geometry in Alexandria and Cu Kα.

Atomic structure:
Cell lengths 6.0257, 6.0257, 17.6299 Å; angles 90.00, 90.00, 134.70 degrees
Atoms (fractional coordinates):
Dy  0.0453  0.9547  0.5983
Dy  0.0453  0.9547  0.9017
Dy  0.3463  0.6537  0.5392
Dy  0.3463  0.6537  0.9608
Dy  0.4535  0.5465  0.7500
Dy  0.5465  0.4535  0.2500
Dy  0.6537  0.3463  0.0392
Dy  0.6537  0.3463  0.4608
Dy  0.9547  0.0453  0.0983
Dy  0.9547  0.0453  0.4017
Tl  0.2408  0.7592  0.1509
Tl  0.2408  0.7592  0.3491
Tl  0.7592  0.2408  0.6509
Tl  0.7592  0.2408  0.8491
Cd  0.1660  0.8340  0.7500
Cd  0.8340  0.1660  0.2500

The 10 most intense peaks (5° ≤ 2θ ≤ 70°), by angle:
2θ/deg, intensity
29.1, 451
31.3, 651
32.5, 554
32.9, 1000
34.5, 392
35.7, 305
38.8, 436
53.8, 189
58.9, 211
66.5, 190


7.
Diffraction record for Dy4Tl2Cd. The PXRD pattern is simulated, not measured: it uses the GGA-PBE geometry in Alexandria and Cu Kα.

Atomic structure:
Cell lengths 7.2680, 6.6774, 9.0668 Å; angles 90.00, 110.98, 90.00 degrees
Atoms (fractional coordinates):
Dy  0.0742  0.2500  0.0472
Dy  0.1656  0.0066  0.7253
Dy  0.1656  0.4934  0.7253
Dy  0.3150  0.7500  0.3452
Dy  0.6850  0.2500  0.6548
Dy  0.8344  0.5066  0.2747
Dy  0.8344  0.9934  0.2747
Dy  0.9258  0.7500  0.9528
Tl  0.2136  0.2500  0.4398
Tl  0.4309  0.7500  0.0428
Tl  0.5691  0.2500  0.9572
Tl  0.7864  0.7500  0.5602
Cd  0.4967  0.2500  0.2851
Cd  0.5033  0.7500  0.7149

The 10 most intense peaks (5° ≤ 2θ ≤ 70°), by angle:
2θ/deg, intensity
26.7, 495
29.6, 1000
30.0, 744
31.7, 556
31.7, 749
32.6, 876
33.3, 723
34.2, 686
36.6, 589
55.0, 466


8.
Diffraction record for Dy12Tl2Cd5. The PXRD pattern is simulated, not measured: it uses the GGA-PBE geometry in Alexandria and Cu Kα.

Atomic structure:
Cell lengths 8.2325, 8.2325, 8.2979 Å; angles 100.28, 100.28, 79.28 degrees
Atoms (fractional coordinates):
Dy  0.0817  0.0817  0.2060
Dy  0.1309  0.5183  0.6943
Dy  0.1323  0.6574  0.1074
Dy  0.3426  0.8677  0.8926
Dy  0.3629  0.3629  0.3580
Dy  0.4817  0.8691  0.3057
Dy  0.5183  0.1309  0.6943
Dy  0.6371  0.6371  0.6420
Dy  0.6574  0.1323  0.1074
Dy  0.8677  0.3426  0.8926
Dy  0.8691  0.4817  0.3057
Dy  0.9183  0.9183  0.7940
Tl  0.2373  0.7627  0.5000
Tl  0.7627  0.2373  0.5000
Cd  0.1357  0.1357  0.6021
Cd  0.2574  0.2574  0.9731
Cd  0.5000  0.5000  0.0000
Cd  0.7426  0.7426  0.0269
Cd  0.8643  0.8643  0.3979

The 10 most intense peaks (5° ≤ 2θ ≤ 70°), by angle:
2θ/deg, intensity
29.0, 155
29.4, 166
33.1, 486
33.3, 1000
33.6, 181
33.8, 928
34.1, 411
48.3, 203
59.9, 183
60.3, 193


9.
Diffraction record for DyTm2Cd3. The PXRD pattern is simulated, not measured: it uses the GGA-PBE geometry in Alexandria and Cu Kα.

Atomic structure:
Cell lengths 5.2436, 5.2436, 6.4429 Å; angles 90.00, 90.00, 120.00 degrees
Atoms (fractional coordinates):
Dy  0.0000  0.0000  0.0000
Tm  0.3333  0.6667  0.6625
Tm  0.6667  0.3333  0.3375
Cd  0.0000  0.0000  0.5000
Cd  0.3333  0.6667  0.1657
Cd  0.6667  0.3333  0.8343

The 8 most intense peaks (5° ≤ 2θ ≤ 70°), by angle:
2θ/deg, intensity
24.0, 38
34.2, 1000
42.2, 9
49.1, 178
55.3, 9
55.4, 9
61.0, 91
61.2, 273


10.
Diffraction record for Dy5TmCd4. The PXRD pattern is simulated, not measured: it uses the GGA-PBE geometry in Alexandria and Cu Kα.

Atomic structure:
Cell lengths 3.6693, 3.6693, 20.2975 Å; angles 90.00, 90.00, 90.00 degrees
Atoms (fractional coordinates):
Dy  0.0000  0.0000  0.0000
Dy  0.0000  0.0000  0.1892
Dy  0.0000  0.0000  0.3822
Dy  0.0000  0.0000  0.6178
Dy  0.0000  0.0000  0.8108
Tm  0.5000  0.5000  0.5000
Cd  0.5000  0.5000  0.0949
Cd  0.5000  0.5000  0.2857
Cd  0.5000  0.5000  0.7143
Cd  0.5000  0.5000  0.9051

The 10 most intense peaks (5° ≤ 2θ ≤ 70°), by angle:
2θ/deg, intensity
30.1, 58
32.9, 1000
34.6, 501
36.1, 62
44.6, 70
49.7, 178
57.7, 129
60.9, 336
61.7, 47
69.0, 75


11.
Diffraction record for Dy3TmCd. The PXRD pattern is simulated, not measured: it uses the GGA-PBE geometry in Alexandria and Cu Kα.

Atomic structure:
Cell lengths 6.0195, 6.0195, 11.1715 Å; angles 99.51, 99.51, 47.99 degrees
Atoms (fractional coordinates):
Dy  0.0211  0.0211  0.3572
Dy  0.1387  0.1387  0.9487
Dy  0.2936  0.2936  0.2619
Dy  0.7064  0.7064  0.7381
Dy  0.8613  0.8613  0.0513
Dy  0.9789  0.9789  0.6428
Tm  0.4258  0.4258  0.8492
Tm  0.5742  0.5742  0.1508
Cd  0.2883  0.2883  0.5699
Cd  0.7117  0.7117  0.4301

The 10 most intense peaks (5° ≤ 2θ ≤ 70°), by angle:
2θ/deg, intensity
26.7, 108
30.7, 383
32.8, 1000
33.8, 234
35.6, 208
36.7, 275
50.8, 149
52.1, 141
63.2, 110
63.6, 148


12.
Diffraction record for Dy9Tm4Cd11. The PXRD pattern is simulated, not measured: it uses the GGA-PBE geometry in Alexandria and Cu Kα.

Atomic structure:
Cell lengths 13.8153, 13.8153, 3.4960 Å; angles 90.00, 90.00, 108.41 degrees
Atoms (fractional coordinates):
Dy  0.0000  0.0000  0.0000
Dy  0.1193  0.6552  0.0000
Dy  0.2943  0.4790  0.0000
Dy  0.3448  0.8807  0.0000
Dy  0.4790  0.2943  0.0000
Dy  0.5210  0.7057  0.0000
Dy  0.6552  0.1193  0.0000
Dy  0.7057  0.5210  0.0000
Dy  0.8807  0.3448  0.0000
Tm  0.0819  0.2498  0.0000
Tm  0.2498  0.0819  0.0000
Tm  0.7502  0.9181  0.0000
Tm  0.9181  0.7502  0.0000
Cd  0.0872  0.4479  0.5000
Cd  0.1283  0.8717  0.5000
Cd  0.2817  0.2817  0.5000
Cd  0.3213  0.6787  0.5000
Cd  0.4479  0.0872  0.5000
Cd  0.5000  0.5000  0.5000
Cd  0.5521  0.9128  0.5000
Cd  0.6787  0.3213  0.5000
Cd  0.7183  0.7183  0.5000
Cd  0.8717  0.1283  0.5000
Cd  0.9128  0.5521  0.5000

The 10 most intense peaks (5° ≤ 2θ ≤ 70°), by angle:
2θ/deg, intensity
32.6, 927
33.0, 383
33.9, 1000
34.2, 545
35.2, 862
38.1, 300
52.3, 234
59.8, 365
61.6, 358
63.1, 316